Entry 1:
Y4Hf2Ge3C3: theoretical XRD peak list (Cu Ka), based on a PBE-relaxed structure.
No peak broadening, texture or thermal motion is included.

Structural model:
Cell lengths 10.500, 6.077, 14.730 Å; angles 90.00, 104.14, 90.00 degrees
Space group C2/c (No. 15)
Inequivalent atoms, fractional coordinates:
Y 0.117 0.077 0.101 x8
Y 0.213 0.087 0.399 x8
Hf 0.061 0.413 0.922 x8
Ge 0.000 0.161 0.750 x4
Ge 0.128 0.453 0.249 x8
C 0.077 0.268 0.500 x8
C 0.250 0.250 0.000 x4

The 8 most intense peaks (2θ from 10° to 90°), in order of rising 2θ:
16.99°, intensity 17; 29.43°, intensity 37; 30.10°, intensity 13; 35.01°, intensity 100; 35.18°, intensity 47; 37.79°, intensity 26; 52.17°, intensity 19; 64.37°, intensity 14


Entry 2:
HfZr3Ge2C2: theoretical XRD peak list (Cu Ka), based on a PBE-relaxed structure.
No peak broadening, texture or thermal motion is included.

Structural model:
Cell lengths 3.3292, 3.3292, 13.7806 Å; angles 90.00, 90.00, 120.00 degrees
Space group P3m1 (No. 156)
Inequivalent atoms, fractional coordinates:
Hf 0.0000 0.0000 0.0000 x1
Zr 0.0000 0.0000 0.6854 x1
Zr 0.6667 0.3333 0.1836 x1
Zr 0.6667 0.3333 0.4991 x1
Ge 0.0000 0.0000 0.3413 x1
Ge 0.6667 0.3333 0.8436 x1
C 0.3333 0.6667 0.0884 x1
C 0.3333 0.6667 0.5922 x1

The 8 most intense peaks (2θ from 10° to 90°), in order of rising 2θ:
31.02°, intensity 25; 36.81°, intensity 100; 39.22°, intensity 16; 50.83°, intensity 14; 55.18°, intensity 22; 68.18°, intensity 16; 69.51°, intensity 13; 69.78°, intensity 17


Entry 3:
TbHoGe2W2C: theoretical XRD peak list (Cu Ka), based on a PBE-relaxed structure.
No peak broadening, texture or thermal motion is included.

Structural model:
Cell lengths 11.111, 3.854, 7.170 Å; angles 90.00, 123.88, 90.00 degrees
Space group Cm (No. 8)
Inequivalent atoms, fractional coordinates:
Tb 0.000 0.000 0.000 x2
Ho 0.142 0.000 0.579 x2
Ge 0.208 0.500 0.946 x2
Ge 0.434 0.000 0.634 x2
W 0.276 0.500 0.369 x2
W 0.367 0.000 0.212 x2
C 0.072 0.500 0.293 x2

The 8 most intense peaks (2θ from 10° to 90°), in order of rising 2θ:
14.88°, intensity 20; 30.42°, intensity 33; 32.91°, intensity 19; 33.58°, intensity 77; 34.91°, intensity 100; 37.42°, intensity 32; 40.16°, intensity 31; 47.17°, intensity 28


Entry 4:
Ho3TmGe2C2: theoretical XRD peak list (Cu Ka), based on a PBE-relaxed structure.
No peak broadening, texture or thermal motion is included.

Structural model:
Cell lengths 3.5611, 3.5611, 14.8660 Å; angles 90.00, 90.00, 120.00 degrees
Space group P3m1 (No. 156)
Inequivalent atoms, fractional coordinates:
Ho 0.0000 0.0000 0.0000 x1
Ho 0.0000 0.0000 0.3198 x1
Ho 0.3333 0.6667 0.5014 x1
Tm 0.3333 0.6667 0.8204 x1
Ge 0.0000 0.0000 0.6618 x1
Ge 0.3333 0.6667 0.1602 x1
C 0.6667 0.3333 0.4107 x1
C 0.6667 0.3333 0.9094 x1

The 8 most intense peaks (2θ from 10° to 90°), in order of rising 2θ:
28.95°, intensity 23; 34.25°, intensity 100; 36.26°, intensity 17; 51.31°, intensity 22; 63.15°, intensity 17; 63.94°, intensity 15; 64.44°, intensity 20; 85.60°, intensity 15


Entry 5:
LaNdGe2Mo2C: theoretical XRD peak list (Cu Ka), based on a PBE-relaxed structure.
No peak broadening, texture or thermal motion is included.

Structural model:
Cell lengths 11.347, 3.972, 7.465 Å; angles 90.00, 124.67, 90.00 degrees
Space group Cm (No. 8)
Inequivalent atoms, fractional coordinates:
La 0.000 0.000 0.000 x2
Nd 0.147 0.000 0.592 x2
Ge 0.214 0.500 0.972 x2
Ge 0.434 0.000 0.622 x2
Mo 0.276 0.500 0.372 x2
Mo 0.372 0.000 0.225 x2
C 0.075 0.500 0.301 x2

The 8 most intense peaks (2θ from 10° to 90°), in order of rising 2θ:
29.93°, intensity 24; 31.14°, intensity 25; 32.39°, intensity 36; 32.74°, intensity 78; 33.69°, intensity 100; 36.70°, intensity 33; 38.64°, intensity 40; 45.66°, intensity 50


Entry 6:
Lu5GeC2: theoretical XRD peak list (Cu Ka), based on a PBE-relaxed structure.
No peak broadening, texture or thermal motion is included.

Structural model:
Cell lengths 6.685, 6.685, 4.739 Å; angles 90.00, 90.00, 90.00 degrees
Space group P4/mmm (No. 123)
Inequivalent atoms, fractional coordinates:
Lu 0.000 0.000 0.000 x1
Lu 0.271 0.271 0.500 x4
Ge 0.000 0.000 0.500 x1
C 0.000 0.500 0.000 x2

The 8 most intense peaks (2θ from 10° to 90°), in order of rising 2θ:
18.74°, intensity 70; 26.67°, intensity 22; 29.89°, intensity 24; 32.79°, intensity 100; 37.97°, intensity 25; 38.07°, intensity 45; 42.74°, intensity 29; 54.89°, intensity 45


Entry 7:
Lu4GePC2: theoretical XRD peak list (Cu Ka), based on a PBE-relaxed structure.
No peak broadening, texture or thermal motion is included.

Structural model:
Cell lengths 3.5214, 3.5214, 13.8980 Å; angles 90.00, 90.00, 120.00 degrees
Space group P-6m2 (No. 187)
Inequivalent atoms, fractional coordinates:
Lu 0.0000 0.0000 0.1418 x2
Lu 0.3333 0.6667 0.3308 x2
Ge 0.0000 0.0000 0.5000 x1
P 0.3333 0.6667 0.0000 x1
C 0.6667 0.3333 0.2389 x2

The 8 most intense peaks (2θ from 10° to 90°), in order of rising 2θ:
12.74°, intensity 13; 29.29°, intensity 27; 30.00°, intensity 20; 35.23°, intensity 100; 51.93°, intensity 26; 64.32°, intensity 17; 66.73°, intensity 15; 87.14°, intensity 16


Entry 8:
Lu4GePbC2: theoretical XRD peak list (Cu Ka), based on a PBE-relaxed structure.
No peak broadening, texture or thermal motion is included.

Structural model:
Cell lengths 3.5313, 3.5313, 15.0522 Å; angles 90.00, 90.00, 120.00 degrees
Space group P-6m2 (No. 187)
Inequivalent atoms, fractional coordinates:
Lu 0.0000 0.0000 0.1504 x2
Lu 0.3333 0.6667 0.3223 x2
Ge 0.3333 0.6667 0.0000 x1
Pb 0.0000 0.0000 0.5000 x1
C 0.6667 0.3333 0.2398 x2

The 8 most intense peaks (2θ from 10° to 90°), in order of rising 2θ:
29.20°, intensity 25; 34.34°, intensity 100; 35.79°, intensity 16; 46.84°, intensity 13; 51.78°, intensity 23; 63.61°, intensity 17; 64.54°, intensity 18; 86.38°, intensity 15


Entry 9:
Ge2Mo8C3N3: theoretical XRD peak list (Cu Ka), based on a PBE-relaxed structure.
No peak broadening, texture or thermal motion is included.

Structural model:
Cell lengths 3.1378, 3.1378, 22.3967 Å; angles 90.00, 90.00, 120.00 degrees
Space group P-3m1 (No. 164)
Inequivalent atoms, fractional coordinates:
Ge 0.3333 0.6667 0.2526 x2
Mo 0.0000 0.0000 0.1588 x2
Mo 0.0000 0.0000 0.3405 x2
Mo 0.3333 0.6667 0.0587 x2
Mo 0.3333 0.6667 0.4507 x2
C 0.0000 0.0000 0.0000 x1
C 0.3333 0.6667 0.8860 x2
N 0.0000 0.0000 0.5000 x1
N 0.3333 0.6667 0.6074 x2

The 8 most intense peaks (2θ from 10° to 90°), in order of rising 2θ:
33.21°, intensity 26; 33.95°, intensity 26; 36.76°, intensity 45; 38.76°, intensity 82; 40.27°, intensity 33; 41.09°, intensity 100; 58.86°, intensity 50; 73.73°, intensity 33


Entry 10:
NdYGe2Mo2C: theoretical XRD peak list (Cu Ka), based on a PBE-relaxed structure.
No peak broadening, texture or thermal motion is included.

Structural model:
Cell lengths 11.228, 3.895, 7.310 Å; angles 90.00, 124.45, 90.00 degrees
Space group Cm (No. 8)
Inequivalent atoms, fractional coordinates:
Nd 0.000 0.000 0.000 x2
Y 0.145 0.000 0.585 x2
Ge 0.211 0.500 0.959 x2
Ge 0.435 0.000 0.629 x2
Mo 0.277 0.500 0.374 x2
Mo 0.371 0.000 0.220 x2
C 0.075 0.500 0.303 x2

The 8 most intense peaks (2θ from 10° to 90°), in order of rising 2θ:
30.27°, intensity 21; 32.67°, intensity 29; 33.24°, intensity 72; 34.40°, intensity 100; 37.17°, intensity 36; 39.39°, intensity 37; 46.66°, intensity 39; 62.99°, intensity 19


Entry 11:
Pr2GeCN2O4: theoretical XRD peak list (Cu Ka), based on a PBE-relaxed structure.
No peak broadening, texture or thermal motion is included.

Structural model:
Cell lengths 6.574, 6.707, 6.872 Å; angles 84.38, 71.51, 73.51 degrees
Space group P-1 (No. 2)
Inequivalent atoms, fractional coordinates:
Pr 0.040 0.179 0.221 x2
Pr 0.431 0.258 0.664 x2
Ge 0.459 0.786 0.823 x2
C 0.068 0.678 0.305 x2
N 0.020 0.432 0.756 x2
N 0.149 0.796 0.368 x2
O 0.213 0.993 0.890 x2
O 0.347 0.113 0.383 x2
O 0.375 0.627 0.689 x2
O 0.389 0.288 0.007 x2

The 8 most intense peaks (2θ from 10° to 90°), in order of rising 2θ:
24.78°, intensity 42; 27.37°, intensity 70; 27.74°, intensity 100; 28.73°, intensity 54; 29.74°, intensity 65; 30.65°, intensity 57; 35.00°, intensity 58; 50.80°, intensity 42


Entry 12:
Ge2W8C3N3: theoretical XRD peak list (Cu Ka), based on a PBE-relaxed structure.
No peak broadening, texture or thermal motion is included.

Structural model:
Cell lengths 3.1493, 3.1493, 22.3281 Å; angles 90.00, 90.00, 120.00 degrees
Space group P-3m1 (No. 164)
Inequivalent atoms, fractional coordinates:
Ge 0.3333 0.6667 0.2527 x2
W 0.0000 0.0000 0.1598 x2
W 0.0000 0.0000 0.3391 x2
W 0.3333 0.6667 0.0592 x2
W 0.3333 0.6667 0.4502 x2
C 0.0000 0.0000 0.0000 x1
C 0.3333 0.6667 0.8862 x2
N 0.0000 0.0000 0.5000 x1
N 0.3333 0.6667 0.6061 x2

The 8 most intense peaks (2θ from 10° to 90°), in order of rising 2θ:
33.83°, intensity 43; 35.04°, intensity 22; 36.67°, intensity 44; 38.68°, intensity 70; 40.40°, intensity 32; 41.03°, intensity 100; 58.63°, intensity 50; 73.61°, intensity 34


Entry 13:
Nb5Ge3C: theoretical XRD peak list (Cu Ka), based on a PBE-relaxed structure.
No peak broadening, texture or thermal motion is included.

Structural model:
Cell lengths 7.6636, 7.6636, 5.5236 Å; angles 90.00, 90.00, 120.00 degrees
Space group P6_3/mcm (No. 193)
Inequivalent atoms, fractional coordinates:
Nb 0.0000 0.2295 0.2500 x6
Nb 0.3333 0.6667 0.0000 x4
Ge 0.0000 0.4051 0.7500 x6
C 0.0000 0.0000 0.0000 x2

The 8 most intense peaks (2θ from 10° to 90°), in order of rising 2θ:
32.42°, intensity 15; 35.20°, intensity 17; 35.80°, intensity 33; 39.45°, intensity 100; 40.25°, intensity 66; 40.79°, intensity 26; 62.58°, intensity 25; 80.24°, intensity 17